Starting from the GGA-PBE geometry in the Materials Project, the powder XRD pattern of Ce5P12Ru19 was simulated for Cu Kα X-rays.
Intensities are scaled so that the largest is 100.

Structure:
Lattice parameters (Å, degrees): 12.6360 12.6360 3.9824 90.00 90.00 120.00
Space group P-62m (No. 189)
Inequivalent atoms, fractional coordinates:
1 Ce 0.0000 0.8144 0.0000
2 Ce 0.3333 0.6667 0.5000
3 P 0.0000 0.1858 0.5000
4 P 0.0000 0.6263 0.5000
5 P 0.1701 0.4766 0.0000
6 Ru 0.0000 0.0000 0.5000
7 Ru 0.0000 0.2837 0.0000
8 Ru 0.0000 0.4453 0.5000
9 Ru 0.1262 0.6344 0.0000
10 Ru 0.1837 0.3764 0.5000

Main lines, low angle first (15 to 90 degrees two-theta):
hkl 2 2 0, 2θ 28.25, rel. 16; hkl 2 2 1, 2θ 36.30, rel. 100; hkl 3 1 1, 2θ 37.25, rel. 25; hkl 4 1 0, 2θ 37.67, rel. 11; hkl 0 0 2, 2θ 45.56, rel. 23; hkl 5 1 0, 2θ 46.19, rel. 9; hkl 5 0 1, 2θ 47.40, rel. 8; hkl 6 0 0, 2θ 50.01, rel. 14; hkl 6 0 2, 2θ 69.95, rel. 10; hkl 2 2 3, 2θ 78.09, rel. 10

Starting from the GGA-PBE geometry in the Materials Project, the powder XRD pattern of La2TiZnO6 was simulated for Cu Kα X-rays.
Intensities are scaled so that the largest is 100.

Structure:
Lattice parameters (Å, degrees): 5.6713 5.6713 13.5967 90.00 90.00 120.00
Space group R-3 (No. 148, hexagonal axes)
Inequivalent atoms, fractional coordinates:
1 La 0.0000 0.0000 0.2499
2 Ti 0.0000 0.0000 0.0000
3 Zn 0.0000 0.0000 0.5000
4 O 0.0148 0.5876 0.7483

Main lines, low angle first (15 to 90 degrees two-theta):
hkl 0 1 2, 2θ 22.33, rel. 29; hkl 1 1 0, 2θ 31.55, rel. 95; hkl 1 0 4, 2θ 32.02, rel. 100; hkl 2 0 2, 2θ 39.00, rel. 21; hkl 0 2 4, 2θ 45.57, rel. 57; hkl 3 0 0, 2θ 56.18, rel. 25; hkl 2 1 4, 2θ 56.48, rel. 42; hkl 0 1 8, 2θ 57.37, rel. 19; hkl 2 0 8, 2θ 66.96, rel. 17; hkl 3 -2 8, 2θ 75.90, rel. 17

- What is the formula in the second record?
  La2TiZnO6